(1)
Y2HoHg4: calculated powder X-ray diffraction pattern (CuKα), based on a crystal structure in Alexandria, relaxed with GGA-PBE.

Principal peaks in the range 10 to 90 degrees two-theta, in order of falling intensity:
2θ/deg	I (rel.)
34.24	100
35.27	94
24.39	37
49.98	36
62.64	36
60.63	19

Cell and atoms:
Unit cell a=5.0889 b=5.0889 c=26.0533 alpha=90.00 beta=90.00 gamma=120.00
Space group R-3m (No. 166, hexagonal axes)
Symmetry-distinct sites (fractional):
Y  0.0000  0.0000  0.2444
Ho  0.0000  0.0000  0.0000
Hg  0.0000  0.0000  0.1263
Hg  0.0000  0.0000  0.3742

---

(2)
Tl4Pd15Pt: calculated powder X-ray diffraction pattern (CuKα), based on a crystal structure in Alexandria, relaxed with GGA-PBE.

Principal peaks in the range 10 to 90 degrees two-theta, in order of falling intensity:
2θ/deg	I (rel.)
38.43	100
44.88	33
78.43	25
64.87	20
44.28	16
77.57	11

Cell and atoms:
Unit cell a=4.0396 b=4.0396 c=20.4580 alpha=90.00 beta=90.00 gamma=90.00
Space group P4/mmm (No. 123)
Symmetry-distinct sites (fractional):
Tl  0.0000  0.0000  0.1014
Tl  0.0000  0.0000  0.3041
Pd  0.0000  0.5000  0.0000
Pd  0.0000  0.5000  0.2040
Pd  0.0000  0.5000  0.4055
Pd  0.5000  0.5000  0.1025
Pd  0.5000  0.5000  0.3061
Pd  0.5000  0.5000  0.5000
Pt  0.0000  0.0000  0.5000